# 1
The following is a theoretical powder XRD pattern of Li5Er2Zn12. It was derived from a crystal structure in Alexandria, relaxed with GGA-PBE, using a wavelength of 1.5418 Å.

Peak list (6 most intense, 2θ = 10–90°, by intensity)
| 2theta | I (rel.) |
| --- | --- |
| 40.54 | 100 |
| 13.26 | 46 |
| 35.95 | 45 |
| 34.63 | 36 |
| 41.53 | 27 |
| 40.20 | 27 |

Structure:
```
19
Lattice="4.4863 2.5902 4.3489 -4.4863 2.5902 4.3489 0.0000 -5.1803 4.3489" Properties=species:S:1:pos:R:3 pbc="T T T"
Li -4.4863 0.0000 6.5233
Li -2.2431 1.2951 2.1744
Li 0.0000 0.0000 1.2642
Li 2.2431 1.2951 2.1744
Li 0.0000 0.0000 11.7825
Er 0.0000 0.0000 4.5289
Er 0.0000 0.0000 8.5178
Zn -1.3395 -2.8602 4.3489
Zn -3.1468 0.2700 4.3489
Zn -2.2256 -1.2849 6.3445
Zn 1.3395 -2.8602 4.3489
Zn -1.8072 2.5902 4.3489
Zn 0.0000 -2.5699 6.7021
Zn -2.2256 1.2849 6.7021
Zn 2.2256 -1.2849 6.3445
Zn 0.0000 2.5699 6.3445
Zn 3.1468 0.2700 4.3489
Zn 1.8072 2.5902 4.3489
Zn 2.2256 1.2849 6.7022
```

=====

# 2
The following is a theoretical powder XRD pattern of CoP3H. It was derived from a crystal structure in Alexandria, relaxed with GGA-PBE, using a wavelength of 1.5418 Å.

Peak list (6 most intense, 2θ = 10–90°, by intensity)
| 2theta | I (rel.) |
| --- | --- |
| 17.73 | 100 |
| 32.77 | 81 |
| 21.05 | 77 |
| 52.93 | 74 |
| 37.97 | 42 |
| 45.70 | 41 |

Structure:
```
5
Lattice="4.2551 0.0000 0.0000 0.0000 3.2627 0.0000 -0.6365 0.0000 5.0033" Properties=species:S:1:pos:R:3 pbc="T T T"
Co 0.0000 0.0000 0.0000
P -0.2577 1.6313 3.6024
P 2.0542 0.0000 0.7254
P 3.3293 1.6313 1.4407
H 1.0951 1.6313 3.1281
```

=====

# 3
The following is a theoretical powder XRD pattern of Tl3CdHg8. It was derived from a crystal structure in Alexandria, relaxed with GGA-PBE, using a wavelength of 1.5418 Å.

Peak list (6 most intense, 2θ = 10–90°, by intensity)
| 2theta | I (rel.) |
| --- | --- |
| 32.80 | 100 |
| 33.17 | 98 |
| 33.32 | 48 |
| 34.23 | 45 |
| 48.52 | 34 |
| 59.20 | 28 |

Structure:
```
12
Lattice="5.2399 -5.3778 0.0000 5.2399 5.3778 0.0000 -2.7107 0.0000 5.9023" Properties=species:S:1:pos:R:3 pbc="T T T"
Tl 0.0000 0.0000 0.0000
Tl -0.0811 2.6786 5.8939
Tl -0.0811 -2.6786 5.8939
Cd 2.5160 0.0000 5.8806
Hg -0.0146 0.0000 3.7985
Hg 2.5643 2.6218 3.8826
Hg 2.6567 0.0000 1.9709
Hg 5.2213 2.6071 2.0032
Hg 2.5643 -2.6218 3.8826
Hg 5.1117 0.0000 3.9394
Hg 5.2213 -2.6071 2.0032
Hg 7.7482 0.0000 2.0608
```

=====

# 4
The following is a theoretical powder XRD pattern of Pr2Y2Sc3. It was derived from a crystal structure in Alexandria, relaxed with GGA-PBE, using a wavelength of 1.5418 Å.

Peak list (6 most intense, 2θ = 10–90°, by intensity)
| 2theta | I (rel.) |
| --- | --- |
| 29.87 | 100 |
| 35.51 | 84 |
| 49.11 | 47 |
| 23.03 | 37 |
| 60.31 | 36 |
| 32.80 | 31 |

Structure:
```
14
Lattice="-4.7298 4.7298 4.7298 4.7298 -4.7298 4.7298 4.7298 4.7298 -4.7298" Properties=species:S:1:pos:R:3 pbc="T T T"
Pr 6.2818 -1.5520 1.5520
Pr 1.5520 6.2818 -1.5520
Pr 3.1778 3.1778 3.1778
Pr -1.5520 1.5520 6.2818
Y 4.3781 0.3518 -0.3518
Y 0.3518 0.3518 0.3518
Y 0.3518 -0.3518 4.3781
Y -0.3518 4.3781 0.3518
Sc 7.0947 1.9615 0.0000
Sc 2.7684 0.0000 2.3649
Sc 2.3649 2.7684 0.0000
Sc 0.0000 2.3649 2.7684
Sc 1.9615 0.0000 7.0947
Sc 0.0000 7.0947 1.9615
```

=====

# 5
The following is a theoretical powder XRD pattern of Cd2In7Ga2. It was derived from a crystal structure in Alexandria, relaxed with GGA-PBE, using a wavelength of 1.5418 Å.

Peak list (6 most intense, 2θ = 10–90°, by intensity)
| 2theta | I (rel.) |
| --- | --- |
| 38.15 | 100 |
| 26.33 | 73 |
| 35.90 | 61 |
| 30.21 | 56 |
| 33.49 | 47 |
| 39.72 | 42 |

Structure:
```
11
Lattice="4.5965 -5.0028 0.0000 4.5965 5.0028 0.0000 0.0000 0.0000 6.5788" Properties=species:S:1:pos:R:3 pbc="T T T"
Cd 1.4606 0.0000 0.0000
Cd 7.7324 0.0000 0.0000
In 0.0000 0.0000 3.2894
In 2.2983 2.5014 1.5807
In 2.2983 2.5014 4.9981
In 2.2983 -2.5014 1.5807
In 2.2983 -2.5014 4.9981
In 4.5965 0.0000 1.4720
In 4.5965 0.0000 5.1068
Ga 4.5965 2.1833 3.2894
Ga 4.5965 -2.1833 3.2894
```

=====

# 6
The following is a theoretical powder XRD pattern of CaLaZn10. It was derived from a crystal structure in Alexandria, relaxed with GGA-PBE, using a wavelength of 1.5418 Å.

Peak list (6 most intense, 2θ = 10–90°, by intensity)
| 2theta | I (rel.) |
| --- | --- |
| 39.31 | 100 |
| 39.47 | 50 |
| 42.15 | 45 |
| 28.21 | 32 |
| 44.09 | 31 |
| 38.48 | 31 |

Structure:
```
12
Lattice="4.2879 0.0000 0.0000 0.0000 5.3934 0.0000 0.0000 0.0000 9.4112" Properties=species:S:1:pos:R:3 pbc="T T T"
Ca 0.0000 0.0000 0.0000
La 0.0000 2.6967 4.7056
Zn 0.0000 0.0000 3.0441
Zn 0.0000 0.0000 6.3671
Zn 0.0000 2.6967 1.5075
Zn 0.0000 2.6967 7.9037
Zn 2.1440 0.0000 4.7056
Zn 2.1440 1.3636 2.3827
Zn 2.1440 1.3636 7.0285
Zn 2.1440 2.6967 0.0000
Zn 2.1440 4.0297 2.3827
Zn 2.1440 4.0297 7.0285
```